1.
Theoretical powder X-ray diffraction pattern
Compound: Ni3Au
Radiation: a wavelength of 1.5418 Å
Structure: a structure optimized by DFT (GGA-PBE)

abc: 5.2385 5.2385 4.2542
angles: 90.00 90.00 120.00
Atoms (fractional coordinates):
Ni: 0.1588 0.3175 0.2500
Ni: 0.1588 0.8412 0.2500
Ni: 0.3175 0.1588 0.7500
Ni: 0.6825 0.8412 0.2500
Ni: 0.8412 0.1588 0.7500
Ni: 0.8412 0.6825 0.7500
Au: 0.3333 0.6667 0.7500
Au: 0.6667 0.3333 0.2500

The 10 most intense peaks (15 to 90 degrees two-theta), low angle first:
| Position (°2θ) | I_rel |
| --- | --- |
| 28.77 | 43 |
| 34.23 | 17 |
| 39.74 | 24 |
| 42.50 | 27 |
| 45.31 | 100 |
| 59.58 | 14 |
| 72.12 | 16 |
| 79.75 | 18 |
| 87.46 | 19 |
| 89.41 | 14 |


2.
Theoretical powder X-ray diffraction pattern
Compound: KNa2RuF6
Radiation: a wavelength of 1.5418 Å
Structure: a structure optimized by DFT (GGA-PBE)

abc: 6.3056 6.3056 6.3056
angles: 60.00 60.00 60.00
Atoms (fractional coordinates):
K: 0.0000 0.0000 0.0000
Na: 0.2500 0.2500 0.2500
Na: 0.7500 0.7500 0.7500
Ru: 0.5000 0.5000 0.5000
F: 0.2745 0.2745 0.7255
F: 0.2745 0.7255 0.2745
F: 0.2745 0.7255 0.7255
F: 0.7255 0.2745 0.2745
F: 0.7255 0.2745 0.7255
F: 0.7255 0.7255 0.2745

The 10 most intense peaks (15 to 90 degrees two-theta), low angle first:
| Position (°2θ) | I_rel |
| --- | --- |
| 17.22 | 59 |
| 19.91 | 96 |
| 28.31 | 100 |
| 33.32 | 17 |
| 40.46 | 69 |
| 45.49 | 34 |
| 50.11 | 37 |
| 58.55 | 38 |
| 66.29 | 19 |
| 80.62 | 20 |


What did the second record say?
Theoretical powder X-ray diffraction pattern
Compound: KNa2RuF6
Radiation: a wavelength of 1.5418 Å
Structure: a structure optimized by DFT (GGA-PBE)

abc: 6.3056 6.3056 6.3056
angles: 60.00 60.00 60.00
Atoms (fractional coordinates):
K: 0.0000 0.0000 0.0000
Na: 0.2500 0.2500 0.2500
Na: 0.7500 0.7500 0.7500
Ru: 0.5000 0.5000 0.5000
F: 0.2745 0.2745 0.7255
F: 0.2745 0.7255 0.2745
F: 0.2745 0.7255 0.7255
F: 0.7255 0.2745 0.2745
F: 0.7255 0.2745 0.7255
F: 0.7255 0.7255 0.2745

The 10 most intense peaks (15 to 90 degrees two-theta), low angle first:
| Position (°2θ) | I_rel |
| --- | --- |
| 17.22 | 59 |
| 19.91 | 96 |
| 28.31 | 100 |
| 33.32 | 17 |
| 40.46 | 69 |
| 45.49 | 34 |
| 50.11 | 37 |
| 58.55 | 38 |
| 66.29 | 19 |
| 80.62 | 20 |


Repeat the second record exactly.
Theoretical powder X-ray diffraction pattern
Compound: KNa2RuF6
Radiation: a wavelength of 1.5418 Å
Structure: a structure optimized by DFT (GGA-PBE)

abc: 6.3056 6.3056 6.3056
angles: 60.00 60.00 60.00
Atoms (fractional coordinates):
K: 0.0000 0.0000 0.0000
Na: 0.2500 0.2500 0.2500
Na: 0.7500 0.7500 0.7500
Ru: 0.5000 0.5000 0.5000
F: 0.2745 0.2745 0.7255
F: 0.2745 0.7255 0.2745
F: 0.2745 0.7255 0.7255
F: 0.7255 0.2745 0.2745
F: 0.7255 0.2745 0.7255
F: 0.7255 0.7255 0.2745

The 10 most intense peaks (15 to 90 degrees two-theta), low angle first:
| Position (°2θ) | I_rel |
| --- | --- |
| 17.22 | 59 |
| 19.91 | 96 |
| 28.31 | 100 |
| 33.32 | 17 |
| 40.46 | 69 |
| 45.49 | 34 |
| 50.11 | 37 |
| 58.55 | 38 |
| 66.29 | 19 |
| 80.62 | 20 |


Repeat the second record exactly.
Theoretical powder X-ray diffraction pattern
Compound: KNa2RuF6
Radiation: a wavelength of 1.5418 Å
Structure: a structure optimized by DFT (GGA-PBE)

abc: 6.3056 6.3056 6.3056
angles: 60.00 60.00 60.00
Atoms (fractional coordinates):
K: 0.0000 0.0000 0.0000
Na: 0.2500 0.2500 0.2500
Na: 0.7500 0.7500 0.7500
Ru: 0.5000 0.5000 0.5000
F: 0.2745 0.2745 0.7255
F: 0.2745 0.7255 0.2745
F: 0.2745 0.7255 0.7255
F: 0.7255 0.2745 0.2745
F: 0.7255 0.2745 0.7255
F: 0.7255 0.7255 0.2745

The 10 most intense peaks (15 to 90 degrees two-theta), low angle first:
| Position (°2θ) | I_rel |
| --- | --- |
| 17.22 | 59 |
| 19.91 | 96 |
| 28.31 | 100 |
| 33.32 | 17 |
| 40.46 | 69 |
| 45.49 | 34 |
| 50.11 | 37 |
| 58.55 | 38 |
| 66.29 | 19 |
| 80.62 | 20 |